Entry 1:
The following is a computed X-ray diffraction stick pattern of HoTaBe17. It was derived from a cell relaxed with PBE, using Cu Kα.

Atomic structure:
abc: 7.5085 7.5085 10.9681
angles: 90.00 90.00 120.00
Space group R3m (No. 160, hexagonal axes)
Asymmetric unit:
Ho 0.0000 0.0000 0.0000 x3
Ta 0.0000 0.0000 0.6741 x3
Be 0.0000 0.0000 0.2460 x3
Be 0.0000 0.0000 0.4380 x3
Be 0.0025 0.5012 0.1797 x9
Be 0.0031 0.2883 0.3383 x18
Be 0.0054 0.5027 0.4949 x9
Be 0.1687 0.3375 0.1740 x9

Principal peaks in the range 15° ≤ 2θ ≤ 90°, by intensity:
23.70°, intensity 100, hkl 1 1 0; 34.23°, intensity 91, hkl 1 1 3; 15.84°, intensity 63, hkl 1 0 1; 48.85°, intensity 43, hkl 3 0 3; 24.35°, intensity 32, hkl 0 0 3; 41.67°, intensity 30, hkl 3 0 0

Entry 2:
The following is a computed X-ray diffraction stick pattern of KLi2CrH6. It was derived from a cell relaxed with PBE, using Cu Kα.

Atomic structure:
abc: 5.3172 7.4195 5.2684
angles: 90.00 90.00 90.00
Space group Pnnm (No. 58)
Asymmetric unit:
K 0.0000 0.0000 0.0000 x2
Li 0.0672 0.2156 0.5000 x4
Cr 0.0000 0.5000 0.0000 x2
H 0.0860 0.6598 0.2226 x8
H 0.1897 0.9491 0.5000 x4

Principal peaks in the range 15° ≤ 2θ ≤ 90°, by intensity:
34.03°, intensity 100, hkl 0 0 2; 23.78°, intensity 74, hkl 1 0 1; 23.99°, intensity 36, hkl 0 2 0; 33.71°, intensity 21, hkl 2 0 0; 60.91°, intensity 18, hkl 1 2 3; 42.07°, intensity 16, hkl 0 2 2

Entry 3:
The following is a computed X-ray diffraction stick pattern of La2Pm5NdTm. It was derived from a cell relaxed with PBE, using Cu Kα.

Atomic structure:
abc: 8.7497 8.7497 8.2576
angles: 90.00 90.00 90.00
Space group P4/mbm (No. 127)
Asymmetric unit:
La 0.1194 0.3806 0.0000 x4
Pm 0.0000 0.0000 0.0000 x2
Pm 0.2180 0.7180 0.2837 x8
Nd 0.0000 0.0000 0.5000 x2
Tm 0.0000 0.5000 0.5000 x2

Principal peaks in the range 15° ≤ 2θ ≤ 90°, by intensity:
29.75°, intensity 100, hkl 2 0 2; 28.86°, intensity 53, hkl 2 2 0; 31.50°, intensity 28, hkl 2 1 2; 51.70°, intensity 28, hkl 4 2 2; 25.19°, intensity 18, hkl 2 1 1; 38.65°, intensity 15, hkl 2 0 3

Entry 4:
The following is a computed X-ray diffraction stick pattern of ZrAg2Te4. It was derived from a cell relaxed with PBE, using Cu Kα.

Atomic structure:
abc: 3.9767 14.5515 13.3037
angles: 90.00 90.00 90.00
Space group Cmcm (No. 63)
Asymmetric unit:
Zr 0.0000 0.1047 0.2500 x4
Ag 0.0000 0.3655 0.0689 x8
Te 0.0000 0.0000 0.0000 x4
Te 0.0000 0.2939 0.6254 x8
Te 0.0000 0.4557 0.2500 x4

Principal peaks in the range 15° ≤ 2θ ≤ 90°, by intensity:
29.82°, intensity 100, hkl 1 3 1; 29.53°, intensity 91, hkl 0 2 4; 32.06°, intensity 88, hkl 1 3 2; 29.04°, intensity 60, hkl 1 3 0; 41.29°, intensity 53, hkl 1 1 5; 42.48°, intensity 49, hkl 0 6 3